This entry pairs a crystal structure of Sr3SiSb3 with its theoretical XRD peak list. Radiation: Cu Kα, 1.54184 Å. Structure: DFT lattice parameters and positions (PBE).
Intensities are scaled so that the largest is 100.

Main lines, by intensity (10° ≤ 2θ ≤ 90°):
2θ (°)  d_spacing  Rel. int.  index
27.9  3.195  100  3 1 1
33.4  2.686  96  2 1 4
29.1  3.072  71  2 1 3
36.3  2.477  70  0 2 0
32.8  2.730  42  4 1 0
25.6  3.479  41  0 1 3
27.4  3.254  34  3 0 3
41.3  2.184  32  3 1 5

```
data_Sr3SiSb3
_chemical_formula_sum 'Sr12 Si4 Sb12'
_symmetry_space_group_name_H-M 'P n m a'
_symmetry_Int_Tables_number 62
_symmetry_space_group_name_Hall '-P 2ac 2n'
_cell_length_a 13.0876
_cell_length_b 4.9544
_cell_length_c 14.6583
_cell_angle_alpha 90.00
_cell_angle_beta 90.00
_cell_angle_gamma 90.00
loop_
_atom_site_label
_atom_site_fract_x
_atom_site_fract_y
_atom_site_fract_z
Sr1 0.0636 0.2500 0.1053
Sr2 0.1399 0.7500 0.4800
Sr3 0.2182 0.7500 0.7716
Si1 0.0609 0.2500 0.6963
Sb1 0.0272 0.2500 0.3376
Sb2 0.1093 0.2500 0.8802
Sb3 0.2427 0.2500 0.6093
```